No. 1
The following is a calculated powder diffraction line list of Pr2Ni2Ag. It was derived from a PBE-relaxed structure, using Cu Ka.

Peak list (6 most intense, 5 to 70 degrees two-theta, in order of rising 2θ)
29.19 deg, intensity 34; 32.86 deg, intensity 100; 34.41 deg, intensity 70; 37.56 deg, intensity 30; 38.89 deg, intensity 38; 58.00 deg, intensity 30

Structure:
```
Pr2Ni2Ag
1.0
2.0070 -7.0884 0.0000
2.0070 7.0884 0.0000
0.0000 0.0000 3.8466
Pr Ni Ag
2 2 1
direct
0.1343 0.8657 0.0000
0.8657 0.1343 0.0000
0.2993 0.7007 0.5000
0.7007 0.2993 0.5000
0.5000 0.5000 0.5000
```

No. 2
The following is a calculated powder diffraction line list of Ca4Pu3N8. It was derived from a PBE-relaxed structure, using Cu Ka.

Peak list (6 most intense, 5 to 70 degrees two-theta, in order of rising 2θ)
14.87 deg, intensity 100; 30.62 deg, intensity 69; 31.85 deg, intensity 48; 36.41 deg, intensity 53; 39.53 deg, intensity 27; 47.00 deg, intensity 28

Structure:
```
Ca4Pu3N8
1.0
3.4176 1.9731 5.9588
-3.4176 1.9731 5.9588
0.0000 -3.9463 5.9588
Ca Pu N
4 3 8
direct
0.0000 0.0000 0.0000
0.1515 0.1515 0.1515
0.5000 0.5000 0.5000
0.8485 0.8485 0.8485
0.0000 0.5000 0.5000
0.5000 0.0000 0.5000
0.5000 0.5000 0.0000
0.2461 0.2461 0.7073
0.2461 0.7073 0.2461
0.2775 0.2775 0.2775
0.2927 0.7539 0.7539
0.7073 0.2461 0.2461
0.7225 0.7225 0.7225
0.7539 0.2927 0.7539
0.7539 0.7539 0.2927
```

No. 3
The following is a calculated powder diffraction line list of PuSnSe2. It was derived from a PBE-relaxed structure, using Cu Ka.

Peak list (6 most intense, 5 to 70 degrees two-theta, in order of rising 2θ)
22.89 deg, intensity 42; 23.75 deg, intensity 35; 33.75 deg, intensity 99; 35.07 deg, intensity 31; 37.06 deg, intensity 100; 41.11 deg, intensity 30

Structure:
```
PuSnSe2
1.0
7.5271 0.0000 0.0000
0.0000 3.8978 0.0000
0.0000 0.0000 13.6056
Pu Sn Se
4 4 8
direct
0.0014 0.2500 0.1750
0.4986 0.7500 0.6750
0.5014 0.2500 0.3250
0.9986 0.7500 0.8250
0.0738 0.7500 0.5825
0.4262 0.2500 0.0825
0.5738 0.7500 0.9175
0.9262 0.2500 0.4175
0.1547 0.7500 0.0322
0.2152 0.7500 0.2906
0.2848 0.2500 0.7906
0.3453 0.2500 0.5322
0.6547 0.7500 0.4678
0.7152 0.7500 0.2094
0.7848 0.2500 0.7094
0.8453 0.2500 0.9678
```

No. 4
The following is a calculated powder diffraction line list of Zr2Co. It was derived from a PBE-relaxed structure, using Cu Ka.

Peak list (6 most intense, 5 to 70 degrees two-theta, in order of rising 2θ)
33.37 deg, intensity 100; 34.55 deg, intensity 49; 36.01 deg, intensity 100; 40.90 deg, intensity 94; 42.69 deg, intensity 31; 44.62 deg, intensity 38

Structure:
```
Zr2Co
1.0
-1.6648 3.0522 5.6463
1.6648 -3.0522 5.6463
1.6648 3.0522 -5.6463
Zr Co
4 2
direct
0.2136 0.2136 0.0000
0.2443 0.5000 0.7443
0.7557 0.5000 0.2557
0.7864 0.7864 0.0000
0.3787 0.8787 0.5000
0.6213 0.1213 0.5000
```

No. 5
The following is a calculated powder diffraction line list of Ce8GaGe6. It was derived from a PBE-relaxed structure, using Cu Ka.

Peak list (6 most intense, 5 to 70 degrees two-theta, in order of rising 2θ)
24.93 deg, intensity 57; 31.16 deg, intensity 22; 32.36 deg, intensity 21; 35.00 deg, intensity 100; 36.08 deg, intensity 94; 51.14 deg, intensity 27

Structure:
```
Ce8GaGe6
1.0
4.4406 2.5638 6.0133
-4.4406 2.5638 6.0133
0.0000 -5.1276 6.0133
Ce Ga Ge
8 1 6
direct
0.1258 0.3971 0.6953
0.1613 0.1613 0.1613
0.3047 0.8742 0.6029
0.3971 0.6953 0.1258
0.6029 0.3047 0.8742
0.6953 0.1258 0.3971
0.8387 0.8387 0.8387
0.8742 0.6029 0.3047
0.5000 0.5000 0.5000
0.0597 0.7856 0.4374
0.2144 0.5626 0.9403
0.4374 0.0597 0.7856
0.5626 0.9403 0.2144
0.7856 0.4374 0.0597
0.9403 0.2144 0.5626
```

No. 6
The following is a calculated powder diffraction line list of Hf2MgS5. It was derived from a PBE-relaxed structure, using Cu Ka.

Peak list (6 most intense, 5 to 70 degrees two-theta, in order of rising 2θ)
12.45 deg, intensity 100; 21.34 deg, intensity 77; 28.33 deg, intensity 89; 36.76 deg, intensity 47; 38.17 deg, intensity 38; 42.00 deg, intensity 96

Structure:
```
Hf2MgS5
1.0
0.0000 4.1635 7.1096
2.4447 0.0000 7.1096
2.4447 4.1635 0.0000
Hf Mg S
2 1 5
direct
0.1780 0.1780 0.8220
0.8220 0.8220 0.1780
0.5000 0.5000 0.5000
0.0000 0.0000 0.0000
0.1767 0.5028 0.4972
0.4972 0.8233 0.1767
0.5028 0.1767 0.8233
0.8233 0.4972 0.5028
```

No. 7
The following is a calculated powder diffraction line list of Cs8Br4Cl3. It was derived from a PBE-relaxed structure, using Cu Ka.

Peak list (6 most intense, 5 to 70 degrees two-theta, in order of rising 2θ)
21.14 deg, intensity 30; 24.45 deg, intensity 100; 34.85 deg, intensity 78; 43.04 deg, intensity 28; 56.53 deg, intensity 37; 62.49 deg, intensity 28

Structure:
```
Cs8Br4Cl3
1.0
7.2791 -7.2823 0.0000
7.2791 7.2823 0.0000
-7.2764 0.0000 7.2809
Cs Br Cl
8 4 3
direct
0.2461 0.2461 0.0004
0.2465 0.2465 0.4925
0.2465 0.7535 0.0000
0.2500 0.7500 0.5000
0.7500 0.2500 0.5000
0.7535 0.2465 0.0000
0.7539 0.7539 0.9996
0.7535 0.7535 0.5075
0.0000 0.0000 0.5000
0.0000 0.5000 0.0000
0.5000 0.0000 0.0000
0.5000 0.5000 0.0000
0.0000 0.0000 0.0000
0.0000 0.5000 0.5000
0.5000 0.0000 0.5000
```

No. 8
The following is a calculated powder diffraction line list of Li2TbDy2Bi2. It was derived from a PBE-relaxed structure, using Cu Ka.

Peak list (6 most intense, 5 to 70 degrees two-theta, in order of rising 2θ)
21.23 deg, intensity 53; 22.02 deg, intensity 31; 31.75 deg, intensity 90; 34.44 deg, intensity 83; 36.72 deg, intensity 100; 65.29 deg, intensity 37

Structure:
```
Li2TbDy2Bi2
1.0
2.4475 1.4130 8.8020
-2.4475 1.4130 8.8020
0.0000 -2.8261 8.8020
Li Tb Dy Bi
2 1 2 2
direct
0.0898 0.0898 0.0898
0.9102 0.9102 0.9102
0.5000 0.5000 0.5000
0.3690 0.3690 0.3690
0.6310 0.6310 0.6310
0.2344 0.2344 0.2344
0.7656 0.7656 0.7656
```

Copy entry 1 word for word.
The following is a calculated powder diffraction line list of Pr2Ni2Ag. It was derived from a PBE-relaxed structure, using Cu Ka.

Peak list (6 most intense, 5 to 70 degrees two-theta, in order of rising 2θ)
29.19 deg, intensity 34; 32.86 deg, intensity 100; 34.41 deg, intensity 70; 37.56 deg, intensity 30; 38.89 deg, intensity 38; 58.00 deg, intensity 30

Structure:
```
Pr2Ni2Ag
1.0
2.0070 -7.0884 0.0000
2.0070 7.0884 0.0000
0.0000 0.0000 3.8466
Pr Ni Ag
2 2 1
direct
0.1343 0.8657 0.0000
0.8657 0.1343 0.0000
0.2993 0.7007 0.5000
0.7007 0.2993 0.5000
0.5000 0.5000 0.5000
```